Calculated X-ray powder pattern
Compound: Sm2AlCo5Si2
Radiation: Cu Ka
Structure: DFT lattice parameters and positions (PBE)
Neutral-atom scattering factors, no anomalous dispersion.

Structural model:
a = 9.5705 Å, b = 9.5705 Å, c = 3.2541 Å
α = 90.00°, β = 90.00°, γ = 90.00°
Space group P4/mbm (No. 127)
Symmetry-distinct sites (fractional):
Sm 0.1781 0.3219 0.0000 [4 per cell]
Al 0.0000 0.0000 0.0000 [2 per cell]
Co 0.0000 0.5000 0.5000 [2 per cell]
Co 0.0648 0.7824 0.5000 [8 per cell]
Si 0.1190 0.6190 0.0000 [4 per cell]

Top 10 peaks for 2θ = 10–90°, by intensity:
index	2theta	Rel. int.
4 1 0	38.8	100
2 1 1	34.6	89
3 1 1	40.7	86
3 3 0	40.0	39
3 2 1	44.0	35
4 1 2	70.7	32
2 2 1	38.4	32
2 0 1	33.3	29
2 1 0	20.8	27
2 0 0	18.5	25